For Pm2Dy9Ho, a crystal structure in Alexandria, relaxed with GGA-PBE gives the computed powder diffractogram in this record (CuKα).

The 6 most intense peaks (10° ≤ 2θ ≤ 80°), low angle first:
2theta  d [Å]  I_rel  hkl
30.78  2.905  100  1 1 3
35.69  2.516  51  2 0 0
51.36  1.779  36  2 2 0
61.09  1.517  43  3 1 3
64.12  1.452  12  2 2 6
75.60  1.258  6  4 0 0

Crystal structure
```
data_Pm2Dy9Ho
_symmetry_space_group_name_H-M 'P 4/m m m'
_symmetry_Int_Tables_number 123
_symmetry_space_group_name_Hall '-P 4 2'
_cell_length_a 5.032
_cell_length_b 5.032
_cell_length_c 15.088
_cell_angle_alpha 90.00
_cell_angle_beta 90.00
_cell_angle_gamma 90.00
loop_
_atom_site_label
_atom_site_type_symbol
_atom_site_fract_x
_atom_site_fract_y
_atom_site_fract_z
Pm1 Pm 0.000 0.000 0.167
Dy1 Dy 0.000 0.500 0.000
Dy2 Dy 0.000 0.500 0.335
Dy3 Dy 0.500 0.500 0.168
Dy4 Dy 0.500 0.500 0.500
Ho1 Ho 0.000 0.000 0.500
```


For Pm6Dy12Ho, a crystal structure in Alexandria, relaxed with GGA-PBE gives the computed powder diffractogram in this record (CuKα).

The 8 most intense peaks (10° ≤ 2θ ≤ 80°), low angle first:
2theta  d [Å]  I_rel  hkl
27.84  3.205  19  3 0 0
30.61  2.921  21  0 0 6
31.85  2.810  100  0 3 3
41.85  2.159  18  3 0 6
49.25  1.850  19  3 3 0
55.20  1.664  15  3 0 9
59.11  1.563  15  3 3 6
59.85  1.545  13  6 0 3

Crystal structure
```
data_Pm6Dy12Ho
_symmetry_space_group_name_H-M 'R -3 m'
_symmetry_Int_Tables_number 166
_symmetry_space_group_name_Hall '-R 3 2"'
_cell_length_a 11.1018
_cell_length_b 11.1018
_cell_length_c 17.5235
_cell_angle_alpha 90.00
_cell_angle_beta 90.00
_cell_angle_gamma 120.00
loop_
_atom_site_label
_atom_site_type_symbol
_atom_site_fract_x
_atom_site_fract_y
_atom_site_fract_z
Pm1 Pm 0.0707 0.5354 0.2669
Dy1 Dy 0.0997 0.5498 0.9134
Dy2 Dy 0.1062 0.2124 0.9084
Ho1 Ho 0.0000 0.0000 0.5000
```


For Pm3Dy7Ho, a crystal structure in Alexandria, relaxed with GGA-PBE gives the computed powder diffractogram in this record (CuKα).

The 8 most intense peaks (10° ≤ 2θ ≤ 80°), low angle first:
2theta  d [Å]  I_rel  hkl
31.34  2.854  33  1 1 2
31.63  2.828  41  1 1 -3
31.76  2.817  100  2 1 0
31.98  2.798  68  2 1 -2
32.25  2.776  23  2 0 -3
32.36  2.767  75  0 2 0
32.81  2.730  76  0 1 3
57.31  1.608  22  2 3 0

Crystal structure
```
data_Pm3Dy7Ho
_symmetry_space_group_name_H-M 'P 1 2/m 1'
_symmetry_Int_Tables_number 10
_symmetry_space_group_name_Hall '-P 2y'
_cell_length_a 6.949
_cell_length_b 5.533
_cell_length_c 9.989
_cell_angle_alpha 90.00
_cell_angle_beta 109.52
_cell_angle_gamma 90.00
loop_
_atom_site_label
_atom_site_type_symbol
_atom_site_fract_x
_atom_site_fract_y
_atom_site_fract_z
Pm1 Pm 0.000 0.000 0.000
Pm2 Pm 0.281 0.500 0.497
Dy1 Dy 0.000 0.000 0.500
Dy2 Dy 0.148 0.500 0.789
Dy3 Dy 0.321 0.500 0.137
Dy4 Dy 0.423 0.000 0.329
Ho1 Ho 0.500 0.000 0.000
```